Diffraction record for CdI2. The PXRD pattern is theoretical, not measured: it uses DFT lattice parameters and positions (GGA-PBE) and copper Kα.
No peak broadening, texture or thermal motion is included.

Structural model:
Lattice parameters (Å, degrees): 4.332 4.332 51.863 90.00 90.00 120.00
Fractional coordinates of all 21 atoms:
Cd (0.000, 0.000, 0.000)
Cd (0.000, 0.000, 0.143)
Cd (0.000, 0.000, 0.429)
Cd (0.000, 0.000, 0.714)
Cd (0.667, 0.333, 0.286)
Cd (0.667, 0.333, 0.571)
Cd (0.667, 0.333, 0.857)
I (0.000, 0.000, 0.252)
I (0.000, 0.000, 0.538)
I (0.000, 0.000, 0.824)
I (0.333, 0.667, 0.033)
I (0.333, 0.667, 0.176)
I (0.333, 0.667, 0.319)
I (0.333, 0.667, 0.462)
I (0.333, 0.667, 0.605)
I (0.333, 0.667, 0.748)
I (0.333, 0.667, 0.890)
I (0.667, 0.333, 0.110)
I (0.667, 0.333, 0.395)
I (0.667, 0.333, 0.681)
I (0.667, 0.333, 0.967)

Top 12 peaks for 2θ = 15–90°, in order of falling intensity:
| 2θ (°) | Rel. int. |
| --- | --- |
| 26.63 | 100.0 |
| 41.70 | 52.1 |
| 30.45 | 27.7 |
| 29.38 | 27.4 |
| 43.89 | 25.8 |
| 34.01 | 22.9 |
| 66.41 | 22.4 |
| 50.17 | 19.1 |
| 38.01 | 17.4 |
| 67.22 | 14.9 |
| 39.43 | 14.8 |
| 43.53 | 13.8 |

***

Diffraction record for CdI2. The PXRD pattern is theoretical, not measured: it uses DFT lattice parameters and positions (GGA-PBE) and copper Kα.
No peak broadening, texture or thermal motion is included.

Structural model:
Lattice parameters (Å, degrees): 4.335 4.335 89.312 90.00 90.00 120.00
Fractional coordinates of all 36 atoms:
Cd (0.000, 0.000, 0.000)
Cd (0.000, 0.000, 0.167)
Cd (0.000, 0.000, 0.333)
Cd (0.000, 0.000, 0.500)
Cd (0.000, 0.000, 0.667)
Cd (0.000, 0.000, 0.833)
Cd (0.333, 0.667, 0.083)
Cd (0.333, 0.667, 0.250)
Cd (0.333, 0.667, 0.417)
Cd (0.333, 0.667, 0.583)
Cd (0.667, 0.333, 0.750)
Cd (0.667, 0.333, 0.917)
I (0.000, 0.000, 0.103)
I (0.000, 0.000, 0.269)
I (0.000, 0.000, 0.436)
I (0.000, 0.000, 0.603)
I (0.000, 0.000, 0.731)
I (0.000, 0.000, 0.897)
I (0.333, 0.667, 0.019)
I (0.333, 0.667, 0.186)
I (0.333, 0.667, 0.353)
I (0.333, 0.667, 0.519)
I (0.333, 0.667, 0.686)
I (0.333, 0.667, 0.769)
I (0.333, 0.667, 0.853)
I (0.333, 0.667, 0.936)
I (0.667, 0.333, 0.064)
I (0.667, 0.333, 0.147)
I (0.667, 0.333, 0.231)
I (0.667, 0.333, 0.314)
I (0.667, 0.333, 0.397)
I (0.667, 0.333, 0.481)
I (0.667, 0.333, 0.564)
I (0.667, 0.333, 0.647)
I (0.667, 0.333, 0.814)
I (0.667, 0.333, 0.981)

Top 12 peaks for 2θ = 15–90°, in order of falling intensity:
| 2θ (°) | Rel. int. |
| --- | --- |
| 26.59 | 100.0 |
| 41.66 | 70.5 |
| 29.84 | 61.2 |
| 38.60 | 40.0 |
| 66.19 | 30.9 |
| 43.73 | 24.2 |
| 43.48 | 19.2 |
| 50.12 | 18.6 |
| 67.15 | 14.7 |
| 48.95 | 13.9 |
| 23.91 | 13.0 |
| 27.06 | 12.9 |

***

Diffraction record for CdI2. The PXRD pattern is theoretical, not measured: it uses DFT lattice parameters and positions (GGA-PBE) and copper Kα.
No peak broadening, texture or thermal motion is included.

Structural model:
Lattice parameters (Å, degrees): 4.333 4.333 66.717 90.00 90.00 120.00
Fractional coordinates of all 27 atoms:
Cd (0.000, 0.000, 0.000)
Cd (0.000, 0.000, 0.111)
Cd (0.000, 0.000, 0.333)
Cd (0.000, 0.000, 0.444)
Cd (0.000, 0.000, 0.778)
Cd (0.333, 0.667, 0.222)
Cd (0.333, 0.667, 0.556)
Cd (0.333, 0.667, 0.667)
Cd (0.333, 0.667, 0.889)
I (0.000, 0.000, 0.196)
I (0.000, 0.000, 0.530)
I (0.000, 0.000, 0.641)
I (0.000, 0.000, 0.863)
I (0.333, 0.667, 0.085)
I (0.333, 0.667, 0.307)
I (0.333, 0.667, 0.419)
I (0.333, 0.667, 0.752)
I (0.333, 0.667, 0.974)
I (0.667, 0.333, 0.026)
I (0.667, 0.333, 0.137)
I (0.667, 0.333, 0.248)
I (0.667, 0.333, 0.359)
I (0.667, 0.333, 0.470)
I (0.667, 0.333, 0.581)
I (0.667, 0.333, 0.692)
I (0.667, 0.333, 0.804)
I (0.667, 0.333, 0.915)

Top 12 peaks for 2θ = 15–90°, in order of falling intensity:
| 2θ (°) | Rel. int. |
| --- | --- |
| 26.63 | 100.0 |
| 41.69 | 52.3 |
| 43.87 | 25.7 |
| 66.38 | 23.7 |
| 31.19 | 23.2 |
| 34.00 | 22.6 |
| 28.70 | 22.4 |
| 50.16 | 17.1 |
| 37.08 | 16.1 |
| 67.20 | 14.2 |
| 43.52 | 13.9 |
| 24.02 | 12.8 |

***

Diffraction record for CdI2. The PXRD pattern is theoretical, not measured: it uses DFT lattice parameters and positions (GGA-PBE) and copper Kα.
No peak broadening, texture or thermal motion is included.

Structural model:
Lattice parameters (Å, degrees): 4.333 4.333 74.255 90.00 90.00 120.00
Fractional coordinates of all 30 atoms:
Cd (0.000, 0.000, 0.000)
Cd (0.000, 0.000, 0.100)
Cd (0.000, 0.000, 0.200)
Cd (0.000, 0.000, 0.400)
Cd (0.000, 0.000, 0.600)
Cd (0.000, 0.000, 0.800)
Cd (0.667, 0.333, 0.300)
Cd (0.667, 0.333, 0.500)
Cd (0.667, 0.333, 0.700)
Cd (0.667, 0.333, 0.900)
I (0.000, 0.000, 0.277)
I (0.000, 0.000, 0.477)
I (0.000, 0.000, 0.677)
I (0.000, 0.000, 0.877)
I (0.333, 0.667, 0.023)
I (0.333, 0.667, 0.123)
I (0.333, 0.667, 0.223)
I (0.333, 0.667, 0.323)
I (0.333, 0.667, 0.423)
I (0.333, 0.667, 0.523)
I (0.333, 0.667, 0.623)
I (0.333, 0.667, 0.723)
I (0.333, 0.667, 0.823)
I (0.333, 0.667, 0.923)
I (0.667, 0.333, 0.077)
I (0.667, 0.333, 0.177)
I (0.667, 0.333, 0.377)
I (0.667, 0.333, 0.577)
I (0.667, 0.333, 0.777)
I (0.667, 0.333, 0.977)

Top 12 peaks for 2θ = 15–90°, in order of falling intensity:
| 2θ (°) | Rel. int. |
| --- | --- |
| 26.62 | 100.0 |
| 41.69 | 52.6 |
| 29.88 | 42.5 |
| 43.82 | 25.9 |
| 38.66 | 24.9 |
| 33.97 | 24.0 |
| 66.31 | 22.2 |
| 50.15 | 17.1 |
| 67.20 | 14.1 |
| 43.51 | 13.9 |
| 24.47 | 11.6 |
| 23.97 | 9.8 |

***

Diffraction record for CdI2. The PXRD pattern is theoretical, not measured: it uses DFT lattice parameters and positions (GGA-PBE) and copper Kα.
No peak broadening, texture or thermal motion is included.

Structural model:
Lattice parameters (Å, degrees): 4.336 4.336 88.904 90.00 90.00 120.00
Fractional coordinates of all 36 atoms:
Cd (0.000, 0.000, 0.000)
Cd (0.000, 0.000, 0.167)
Cd (0.000, 0.000, 0.333)
Cd (0.000, 0.000, 0.500)
Cd (0.000, 0.000, 0.667)
Cd (0.000, 0.000, 0.833)
Cd (0.333, 0.667, 0.083)
Cd (0.333, 0.667, 0.250)
Cd (0.333, 0.667, 0.417)
Cd (0.333, 0.667, 0.750)
Cd (0.667, 0.333, 0.583)
Cd (0.667, 0.333, 0.917)
I (0.000, 0.000, 0.103)
I (0.000, 0.000, 0.269)
I (0.000, 0.000, 0.436)
I (0.000, 0.000, 0.564)
I (0.000, 0.000, 0.769)
I (0.000, 0.000, 0.897)
I (0.333, 0.667, 0.019)
I (0.333, 0.667, 0.186)
I (0.333, 0.667, 0.353)
I (0.333, 0.667, 0.519)
I (0.333, 0.667, 0.603)
I (0.333, 0.667, 0.686)
I (0.333, 0.667, 0.853)
I (0.333, 0.667, 0.936)
I (0.667, 0.333, 0.064)
I (0.667, 0.333, 0.147)
I (0.667, 0.333, 0.231)
I (0.667, 0.333, 0.314)
I (0.667, 0.333, 0.397)
I (0.667, 0.333, 0.481)
I (0.667, 0.333, 0.647)
I (0.667, 0.333, 0.731)
I (0.667, 0.333, 0.814)
I (0.667, 0.333, 0.981)

Top 12 peaks for 2θ = 15–90°, in order of falling intensity:
| 2θ (°) | Rel. int. |
| --- | --- |
| 26.61 | 100.0 |
| 41.65 | 70.5 |
| 29.89 | 61.4 |
| 38.71 | 39.4 |
| 66.38 | 30.5 |
| 43.88 | 24.2 |
| 43.49 | 18.8 |
| 50.12 | 17.1 |
| 28.13 | 16.9 |
| 67.15 | 14.1 |
| 24.02 | 14.0 |
| 25.37 | 13.6 |

***

Diffraction record for CdI2. The PXRD pattern is theoretical, not measured: it uses DFT lattice parameters and positions (GGA-PBE) and copper Kα.
No peak broadening, texture or thermal motion is included.

Structural model:
Lattice parameters (Å, degrees): 4.345 4.345 80.964 90.00 90.00 120.00
Fractional coordinates of all 33 atoms:
Cd (0.000, 0.000, 0.000)
Cd (0.000, 0.000, 0.091)
Cd (0.000, 0.000, 0.273)
Cd (0.000, 0.000, 0.455)
Cd (0.000, 0.000, 0.636)
Cd (0.000, 0.000, 0.818)
Cd (0.333, 0.667, 0.182)
Cd (0.333, 0.667, 0.364)
Cd (0.333, 0.667, 0.545)
Cd (0.333, 0.667, 0.727)
Cd (0.333, 0.667, 0.909)
I (0.000, 0.000, 0.203)
I (0.000, 0.000, 0.385)
I (0.000, 0.000, 0.567)
I (0.000, 0.000, 0.749)
I (0.000, 0.000, 0.930)
I (0.333, 0.667, 0.021)
I (0.333, 0.667, 0.112)
I (0.333, 0.667, 0.294)
I (0.333, 0.667, 0.476)
I (0.333, 0.667, 0.658)
I (0.333, 0.667, 0.840)
I (0.667, 0.333, 0.070)
I (0.667, 0.333, 0.160)
I (0.667, 0.333, 0.251)
I (0.667, 0.333, 0.342)
I (0.667, 0.333, 0.433)
I (0.667, 0.333, 0.524)
I (0.667, 0.333, 0.615)
I (0.667, 0.333, 0.706)
I (0.667, 0.333, 0.797)
I (0.667, 0.333, 0.888)
I (0.667, 0.333, 0.979)

Top 12 peaks for 2θ = 15–90°, in order of falling intensity:
| 2θ (°) | Rel. int. |
| --- | --- |
| 26.61 | 100.0 |
| 41.57 | 52.5 |
| 30.27 | 27.7 |
| 29.59 | 27.4 |
| 44.06 | 25.5 |
| 66.60 | 22.9 |
| 34.08 | 21.7 |
| 50.04 | 17.2 |
| 38.39 | 16.4 |
| 39.30 | 14.9 |
| 67.02 | 14.2 |
| 43.43 | 13.2 |

***

Diffraction record for CdI2. The PXRD pattern is theoretical, not measured: it uses DFT lattice parameters and positions (GGA-PBE) and copper Kα.
No peak broadening, texture or thermal motion is included.

Structural model:
Lattice parameters (Å, degrees): 4.333 4.333 74.132 90.00 90.00 120.00
Fractional coordinates of all 30 atoms:
Cd (0.000, 0.000, 0.000)
Cd (0.000, 0.000, 0.100)
Cd (0.000, 0.000, 0.200)
Cd (0.000, 0.000, 0.500)
Cd (0.000, 0.000, 0.800)
Cd (0.667, 0.333, 0.300)
Cd (0.667, 0.333, 0.400)
Cd (0.667, 0.333, 0.600)
Cd (0.667, 0.333, 0.700)
Cd (0.667, 0.333, 0.900)
I (0.000, 0.000, 0.277)
I (0.000, 0.000, 0.377)
I (0.000, 0.000, 0.577)
I (0.000, 0.000, 0.677)
I (0.000, 0.000, 0.877)
I (0.333, 0.667, 0.023)
I (0.333, 0.667, 0.123)
I (0.333, 0.667, 0.223)
I (0.333, 0.667, 0.323)
I (0.333, 0.667, 0.423)
I (0.333, 0.667, 0.523)
I (0.333, 0.667, 0.623)
I (0.333, 0.667, 0.723)
I (0.333, 0.667, 0.823)
I (0.333, 0.667, 0.923)
I (0.667, 0.333, 0.077)
I (0.667, 0.333, 0.177)
I (0.667, 0.333, 0.477)
I (0.667, 0.333, 0.777)
I (0.667, 0.333, 0.977)

Top 12 peaks for 2θ = 15–90°, in order of falling intensity:
| 2θ (°) | Rel. int. |
| --- | --- |
| 26.62 | 100.0 |
| 41.69 | 54.1 |
| 43.87 | 25.6 |
| 66.38 | 23.0 |
| 34.00 | 22.0 |
| 50.15 | 17.1 |
| 67.20 | 14.1 |
| 43.52 | 14.0 |
| 31.45 | 12.4 |
| 28.47 | 11.9 |
| 24.01 | 11.1 |
| 77.62 | 10.2 |

***

Diffraction record for CdI2. The PXRD pattern is theoretical, not measured: it uses DFT lattice parameters and positions (GGA-PBE) and copper Kα.
No peak broadening, texture or thermal motion is included.

Structural model:
Lattice parameters (Å, degrees): 4.335 4.335 45.806 90.00 90.00 120.00
Fractional coordinates of all 18 atoms:
Cd (0.000, 0.000, 0.000)
Cd (0.000, 0.000, 0.167)
Cd (0.000, 0.000, 0.333)
Cd (0.000, 0.000, 0.500)
Cd (0.333, 0.667, 0.667)
Cd (0.333, 0.667, 0.833)
I (0.000, 0.000, 0.704)
I (0.000, 0.000, 0.871)
I (0.333, 0.667, 0.038)
I (0.333, 0.667, 0.204)
I (0.333, 0.667, 0.371)
I (0.333, 0.667, 0.538)
I (0.667, 0.333, 0.129)
I (0.667, 0.333, 0.296)
I (0.667, 0.333, 0.462)
I (0.667, 0.333, 0.629)
I (0.667, 0.333, 0.796)
I (0.667, 0.333, 0.962)

Top 12 peaks for 2θ = 15–90°, in order of falling intensity:
| 2θ (°) | Rel. int. |
| --- | --- |
| 26.46 | 100.0 |
| 41.67 | 50.0 |
| 33.48 | 29.9 |
| 42.94 | 26.9 |
| 32.10 | 20.8 |
| 65.13 | 19.9 |
| 27.39 | 18.4 |
| 34.92 | 17.8 |
| 50.05 | 17.5 |
| 43.40 | 15.5 |
| 67.10 | 14.1 |
| 25.65 | 12.5 |

***

Diffraction record for CdI2. The PXRD pattern is theoretical, not measured: it uses DFT lattice parameters and positions (GGA-PBE) and copper Kα.
No peak broadening, texture or thermal motion is included.

Structural model:
Lattice parameters (Å, degrees): 31.137 31.137 31.137 8.01 8.01 8.01
Fractional coordinates of all 12 atoms:
Cd (0.000, 0.000, 0.000)
Cd (0.167, 0.167, 0.167)
Cd (0.417, 0.417, 0.417)
Cd (0.583, 0.583, 0.583)
I (0.065, 0.065, 0.065)
I (0.232, 0.232, 0.232)
I (0.315, 0.315, 0.315)
I (0.482, 0.482, 0.482)
I (0.685, 0.685, 0.685)
I (0.768, 0.768, 0.768)
I (0.852, 0.852, 0.852)
I (0.935, 0.935, 0.935)

Top 12 peaks for 2θ = 15–90°, in order of falling intensity:
| 2θ (°) | Rel. int. |
| --- | --- |
| 41.52 | 100.0 |
| 25.88 | 70.5 |
| 26.73 | 70.4 |
| 43.20 | 45.5 |
| 29.91 | 41.4 |
| 36.78 | 36.7 |
| 28.76 | 36.7 |
| 64.35 | 30.4 |
| 38.32 | 29.1 |
| 75.21 | 23.6 |
| 75.74 | 19.0 |
| 28.22 | 18.1 |